For Li4MnCo2O7, DFT lattice parameters and positions (GGA+U) gives the simulated powder diffraction line list in this record (λ = 1.5418 Å (Cu Kα)).

Largest 10 diffraction maxima, in order of falling intensity, 2θ from 10° to 90°:
18.36 deg, I = 100
40.41 deg, I = 37
44.56 deg, I = 26
45.12 deg, I = 25
33.76 deg, I = 21
61.92 deg, I = 17
36.91 deg, I = 15
36.58 deg, I = 12
66.06 deg, I = 10
61.52 deg, I = 8

Unit cell a=5.0002 b=5.0742 c=10.5685 alpha=102.17 beta=94.19 gamma=101.08
Fractional positions:
Li: 0.0000 0.0000 0.0000
Li: 0.0000 0.0000 0.5000
Li: 0.1452 0.2819 0.2882
Li: 0.2821 0.5680 0.5699
Li: 0.4265 0.8596 0.8559
Li: 0.5735 0.1404 0.1441
Li: 0.7179 0.4320 0.4301
Li: 0.8548 0.7181 0.7118
Mn: 0.2865 0.5739 0.0749
Mn: 0.7135 0.4261 0.9251
Co: 0.1403 0.2840 0.7816
Co: 0.4294 0.8570 0.3663
Co: 0.5706 0.1430 0.6337
Co: 0.8597 0.7160 0.2184
O: 0.0627 0.6161 0.8860
O: 0.1033 0.6579 0.3891
O: 0.1988 0.9103 0.1783
O: 0.2444 0.9642 0.6839
O: 0.3666 0.2350 0.9687
O: 0.3725 0.1904 0.4633
O: 0.4813 0.4702 0.7440
O: 0.5187 0.5298 0.2560
O: 0.6275 0.8096 0.5367
O: 0.6334 0.7650 0.0313
O: 0.7556 0.0358 0.3161
O: 0.8012 0.0897 0.8217
O: 0.8967 0.3421 0.6109
O: 0.9373 0.3839 0.1140


For Li4Mn3CoO8, DFT lattice parameters and positions (GGA+U) gives the simulated powder diffraction line list in this record (λ = 1.5418 Å (Cu Kα)).

Largest 10 diffraction maxima, in order of falling intensity, 2θ from 10° to 90°:
18.18 deg, I = 100
41.83 deg, I = 60
34.60 deg, I = 33
44.85 deg, I = 23
63.26 deg, I = 14
62.74 deg, I = 14
36.63 deg, I = 11
55.45 deg, I = 10
36.74 deg, I = 9
47.19 deg, I = 9

Unit cell a=6.4505 b=6.4505 c=10.0016 alpha=127.15 beta=127.15 gamma=27.56
Fractional positions:
Li: 0.1230 0.1230 0.3750
Li: 0.3754 0.3754 0.1265
Li: 0.6246 0.6246 0.8735
Li: 0.8770 0.8770 0.6250
Mn: 0.0000 0.0000 0.0000
Mn: 0.2493 0.2493 0.7484
Mn: 0.7507 0.7507 0.2516
Co: 0.5000 0.5000 0.5000
O: 0.0693 0.0693 0.6829
O: 0.1811 0.1811 0.0670
O: 0.3197 0.3197 0.4337
O: 0.4304 0.4304 0.8148
O: 0.5696 0.5696 0.1852
O: 0.6803 0.6803 0.5663
O: 0.8189 0.8189 0.9330
O: 0.9307 0.9307 0.3171


For Li7Mn4CoO12, DFT lattice parameters and positions (GGA+U) gives the simulated powder diffraction line list in this record (λ = 1.5418 Å (Cu Kα)).

Largest 10 diffraction maxima, in order of falling intensity, 2θ from 10° to 90°:
18.25 deg, I = 100
43.62 deg, I = 56
41.95 deg, I = 29
35.89 deg, I = 24
61.95 deg, I = 15
34.63 deg, I = 15
62.28 deg, I = 14
11.33 deg, I = 10
57.50 deg, I = 10
47.10 deg, I = 9

Unit cell a=7.9963 b=7.9963 c=11.8344 alpha=124.08 beta=124.08 gamma=20.98
Fractional positions:
Li: 0.0000 0.0000 0.0000
Li: 0.0071 0.0071 0.7754
Li: 0.0159 0.0159 0.5372
Li: 0.3309 0.3309 0.0052
Li: 0.3674 0.3674 0.5515
Li: 0.6481 0.6481 0.9880
Li: 0.6795 0.6795 0.5402
Mn: 0.0071 0.0071 0.2726
Mn: 0.3429 0.3429 0.2775
Mn: 0.3431 0.3431 0.7731
Mn: 0.6692 0.6692 0.2646
Co: 0.6582 0.6582 0.7664
O: 0.1575 0.1575 0.3697
O: 0.1708 0.1708 0.1548
O: 0.1778 0.1778 0.8963
O: 0.1894 0.1894 0.6660
O: 0.4882 0.4882 0.8832
O: 0.4974 0.4974 0.1567
O: 0.5161 0.5161 0.3896
O: 0.5180 0.5180 0.6499
O: 0.8379 0.8379 0.6572
O: 0.8398 0.8398 0.8822
O: 0.8418 0.8418 0.3882
O: 0.8569 0.8569 0.1744


For Li6Mn3CoO10, DFT lattice parameters and positions (GGA+U) gives the simulated powder diffraction line list in this record (λ = 1.5418 Å (Cu Kα)).

Largest 10 diffraction maxima, in order of falling intensity, 2θ from 10° to 90°:
18.38 deg, I = 100
41.91 deg, I = 33
44.35 deg, I = 28
44.54 deg, I = 28
34.91 deg, I = 17
62.40 deg, I = 16
11.21 deg, I = 15
11.89 deg, I = 12
36.35 deg, I = 12
36.72 deg, I = 11

Unit cell a=2.9450 b=7.7756 c=8.1709 alpha=104.80 beta=90.81 gamma=97.48
Fractional positions:
Li: 0.0000 0.0000 0.0000
Li: 0.0029 0.9979 0.4995
Li: 0.1730 0.3810 0.0955
Li: 0.3960 0.8006 0.7183
Li: 0.6019 0.1983 0.2864
Li: 0.8252 0.6153 0.9021
Mn: 0.4121 0.8047 0.1924
Mn: 0.5895 0.1939 0.8058
Mn: 0.8087 0.5996 0.4043
Co: 0.1840 0.3945 0.5992
O: 0.0237 0.0230 0.7553
O: 0.1602 0.3735 0.8324
O: 0.1727 0.4036 0.3623
O: 0.3954 0.7939 0.9662
O: 0.4405 0.7919 0.4381
O: 0.5632 0.2104 0.5634
O: 0.6058 0.2061 0.0328
O: 0.8202 0.5870 0.6428
O: 0.8424 0.6236 0.1641
O: 0.9781 0.9754 0.2436


For Li7Mn4CoO12, DFT lattice parameters and positions (GGA+U) gives the simulated powder diffraction line list in this record (λ = 1.5418 Å (Cu Kα)).

Largest 10 diffraction maxima, in order of falling intensity, 2θ from 10° to 90°:
18.28 deg, I = 100
41.23 deg, I = 34
44.24 deg, I = 27
44.44 deg, I = 27
34.40 deg, I = 16
61.86 deg, I = 16
36.57 deg, I = 12
36.24 deg, I = 12
12.23 deg, I = 9
63.98 deg, I = 9

Unit cell a=2.9772 b=7.8153 c=10.1859 alpha=110.77 beta=91.74 gamma=96.79
Fractional positions:
Li: 0.0000 0.0000 0.0000
Li: 0.0299 0.0239 0.5307
Li: 0.3369 0.6788 0.3510
Li: 0.3835 0.6966 0.8458
Li: 0.5134 0.0109 0.7654
Li: 0.6456 0.3285 0.6852
Li: 0.6872 0.3471 0.1839
Mn: 0.1636 0.3333 0.9264
Mn: 0.5180 0.0180 0.2690
Mn: 0.8340 0.6776 0.1006
Mn: 0.8607 0.6877 0.6043
Co: 0.2010 0.3508 0.4335
O: 0.1043 0.1945 0.7377
O: 0.1344 0.1864 0.2381
O: 0.2203 0.5100 0.1298
O: 0.3048 0.5268 0.6266
O: 0.4022 0.8232 0.5629
O: 0.4572 0.8487 0.0664
O: 0.5794 0.1861 0.4688
O: 0.6220 0.1986 0.9686
O: 0.7189 0.4951 0.9030
O: 0.8033 0.5106 0.4038
O: 0.8929 0.8456 0.3007
O: 0.9216 0.8267 0.7935


For Li7Mn2Co3O12, DFT lattice parameters and positions (GGA+U) gives the simulated powder diffraction line list in this record (λ = 1.5418 Å (Cu Kα)).

Largest 10 diffraction maxima, in order of falling intensity, 2θ from 10° to 90°:
18.39 deg, I = 100
43.83 deg, I = 54
36.11 deg, I = 39
43.51 deg, I = 28
63.03 deg, I = 14
63.81 deg, I = 14
57.80 deg, I = 10
37.65 deg, I = 8
63.95 deg, I = 8
63.66 deg, I = 7

Unit cell a=5.8375 b=5.8964 c=7.7030 alpha=101.31 beta=100.88 gamma=119.59
Fractional positions:
Li: 0.0000 0.0000 0.0000
Li: 0.0000 0.5000 0.0000
Li: 0.0017 0.1631 0.6716
Li: 0.4981 0.1668 0.6694
Li: 0.5000 0.5000 0.0000
Li: 0.5019 0.8332 0.3306
Li: 0.9983 0.8369 0.3284
Mn: 0.0013 0.3380 0.3283
Mn: 0.9987 0.6620 0.6717
Co: 0.4890 0.3258 0.3215
Co: 0.5000 0.0000 0.0000
Co: 0.5110 0.6742 0.6785
O: 0.2271 0.7228 0.5022
O: 0.2314 0.5756 0.8213
O: 0.2433 0.0428 0.8296
O: 0.2451 0.2697 0.4887
O: 0.2454 0.4225 0.1822
O: 0.2860 0.9537 0.1694
O: 0.7140 0.0463 0.8306
O: 0.7546 0.5775 0.8178
O: 0.7549 0.7303 0.5113
O: 0.7567 0.9572 0.1704
O: 0.7686 0.4244 0.1787
O: 0.7729 0.2772 0.4978


For Li4Mn3CoO8, DFT lattice parameters and positions (GGA+U) gives the simulated powder diffraction line list in this record (λ = 1.5418 Å (Cu Kα)).

Largest 10 diffraction maxima, in order of falling intensity, 2θ from 10° to 90°:
18.13 deg, I = 100
39.66 deg, I = 35
43.86 deg, I = 25
44.46 deg, I = 24
33.15 deg, I = 21
36.34 deg, I = 17
60.95 deg, I = 16
35.90 deg, I = 13
46.31 deg, I = 12
64.80 deg, I = 10

Unit cell a=3.0878 b=5.1361 c=10.1501 alpha=101.15 beta=93.95 gamma=102.76
Fractional positions:
Li: 0.2362 0.4931 0.1240
Li: 0.2492 0.4991 0.6254
Li: 0.7508 0.5009 0.3746
Li: 0.7638 0.5069 0.8760
Mn: 0.0121 0.0011 0.2481
Mn: 0.5000 0.0000 0.5000
Mn: 0.9879 0.9989 0.7519
Co: 0.5000 0.0000 0.0000
O: 0.0862 0.2247 0.9341
O: 0.1487 0.2324 0.4309
O: 0.3441 0.7666 0.8211
O: 0.3599 0.7680 0.3177
O: 0.6401 0.2320 0.6823
O: 0.6559 0.2334 0.1789
O: 0.8513 0.7676 0.5691
O: 0.9138 0.7753 0.0659


For Li4Mn3CoO8, DFT lattice parameters and positions (GGA+U) gives the simulated powder diffraction line list in this record (λ = 1.5418 Å (Cu Kα)).

Largest 10 diffraction maxima, in order of falling intensity, 2θ from 10° to 90°:
18.18 deg, I = 100
41.81 deg, I = 60
34.57 deg, I = 34
44.82 deg, I = 23
63.20 deg, I = 14
62.71 deg, I = 14
36.60 deg, I = 11
55.44 deg, I = 9
36.71 deg, I = 9
47.16 deg, I = 9

Unit cell a=6.0714 b=3.0755 c=8.0890 alpha=90.00 beta=90.56 gamma=90.00
Fractional positions:
Li: 0.0000 0.0000 0.0000
Li: 0.2487 0.5000 0.2510
Li: 0.5000 0.0000 0.5000
Li: 0.7513 0.5000 0.7490
Mn: 0.2473 0.5000 0.7492
Mn: 0.5000 0.0000 0.0000
Mn: 0.7527 0.5000 0.2508
Co: 0.0000 0.0000 0.5000
O: 0.0044 0.0000 0.7371
O: 0.2371 0.5000 0.5115
O: 0.2570 0.5000 0.9867
O: 0.4915 0.0000 0.7617
O: 0.5085 0.0000 0.2383
O: 0.7430 0.5000 0.0133
O: 0.7629 0.5000 0.4885
O: 0.9956 0.0000 0.2629